No. 1
For BaMg14FeO16, the GGA+U geometry in the Materials Project gives the calculated powder diffraction line list in this record (Cu Ka).
Neutral-atom scattering factors, no anomalous dispersion.

Cell and atoms:
a b c (Å): 8.745 8.745 4.508
angles (deg): 90.00 90.00 90.00
Sites, in units of the cell vectors:
1 Ba 0.000 0.000 0.000
2 Mg 0.000 0.265 0.500
3 Mg 0.000 0.500 0.000
4 Mg 0.000 0.735 0.500
5 Mg 0.253 0.500 0.500
6 Mg 0.258 0.258 0.000
7 Mg 0.258 0.742 0.000
8 Mg 0.265 0.000 0.500
9 Mg 0.500 0.000 0.000
10 Mg 0.500 0.253 0.500
11 Mg 0.500 0.747 0.500
12 Mg 0.735 0.000 0.500
13 Mg 0.742 0.258 0.000
14 Mg 0.742 0.742 0.000
15 Mg 0.747 0.500 0.500
16 Fe 0.500 0.500 0.000
17 O 0.000 0.000 0.500
18 O 0.000 0.281 0.000
19 O 0.000 0.500 0.500
20 O 0.000 0.719 0.000
21 O 0.251 0.251 0.500
22 O 0.251 0.749 0.500
23 O 0.253 0.500 0.000
24 O 0.281 0.000 0.000
25 O 0.500 0.000 0.500
26 O 0.500 0.253 0.000
27 O 0.500 0.500 0.500
28 O 0.500 0.747 0.000
29 O 0.719 0.000 0.000
30 O 0.747 0.500 0.000
31 O 0.749 0.251 0.500
32 O 0.749 0.749 0.500

Main lines, low angle first (2θ from 15° to 90°):
2θ (°)	d/Å	Rel. int.
35.20	2.550	41.1
40.00	2.254	56.8
41.30	2.186	100.0
58.85	1.569	61.3
59.83	1.546	28.4
74.42	1.275	26.8

=====

No. 2
For BaMg6FeO8, the GGA+U geometry in the Materials Project gives the calculated powder diffraction line list in this record (Cu Ka).
Neutral-atom scattering factors, no anomalous dispersion.

Cell and atoms:
a b c (Å): 4.671 4.671 8.815
angles (deg): 90.00 90.00 90.00
Sites, in units of the cell vectors:
1 Ba 0.000 0.000 0.000
2 Mg 0.000 0.000 0.500
3 Mg 0.000 0.500 0.266
4 Mg 0.000 0.500 0.734
5 Mg 0.500 0.000 0.266
6 Mg 0.500 0.000 0.734
7 Mg 0.500 0.500 0.500
8 Fe 0.500 0.500 0.000
9 O 0.000 0.000 0.283
10 O 0.000 0.000 0.717
11 O 0.000 0.500 0.000
12 O 0.000 0.500 0.500
13 O 0.500 0.000 0.000
14 O 0.500 0.000 0.500
15 O 0.500 0.500 0.255
16 O 0.500 0.500 0.745

Main lines, low angle first (2θ from 15° to 90°):
2θ (°)	d/Å	Rel. int.
28.86	3.093	38.7
33.91	2.643	56.8
38.55	2.336	100.0
40.95	2.204	38.3
55.65	1.652	31.6
57.49	1.603	50.8

=====

No. 3
For Ba4MgFe4O10, the GGA+U geometry in the Materials Project gives the calculated powder diffraction line list in this record (Cu Ka).
Neutral-atom scattering factors, no anomalous dispersion.

Cell and atoms:
a b c (Å): 5.753 5.777 9.517
angles (deg): 72.83 85.02 89.50
Sites, in units of the cell vectors:
1 Ba 0.000 0.000 0.000
2 Ba 0.175 0.199 0.566
3 Ba 0.559 0.538 0.922
4 Ba 0.767 0.761 0.474
5 Mg 0.492 0.364 0.285
6 Fe 0.105 0.612 0.763
7 Fe 0.434 0.894 0.220
8 Fe 0.656 0.156 0.700
9 Fe 0.986 0.409 0.190
10 O 0.065 0.509 0.982
11 O 0.205 0.605 0.266
12 O 0.208 0.139 0.268
13 O 0.329 0.725 0.606
14 O 0.396 0.114 0.835
15 O 0.631 0.264 0.489
16 O 0.698 0.655 0.187
17 O 0.701 0.167 0.186
18 O 0.848 0.882 0.740
19 O 0.860 0.386 0.734

Main lines, low angle first (2θ from 15° to 90°):
2θ (°)	d/Å	Rel. int.
27.02	3.300	40.7
27.35	3.261	46.2
30.96	2.888	72.9
31.96	2.801	100.0
32.08	2.790	57.1
45.21	2.005	30.2

=====

No. 4
For BaMg6FeO8, the GGA+U geometry in the Materials Project gives the calculated powder diffraction line list in this record (Cu Ka).
Neutral-atom scattering factors, no anomalous dispersion.

Cell and atoms:
a b c (Å): 4.687 4.687 8.825
angles (deg): 90.00 90.00 90.00
Sites, in units of the cell vectors:
1 Ba 0.000 0.000 0.000
2 Mg 0.000 0.500 0.267
3 Mg 0.000 0.500 0.733
4 Mg 0.500 0.000 0.267
5 Mg 0.500 0.000 0.733
6 Mg 0.500 0.500 0.000
7 Mg 0.500 0.500 0.500
8 Fe 0.000 0.000 0.500
9 O 0.000 0.000 0.281
10 O 0.000 0.000 0.719
11 O 0.000 0.500 0.000
12 O 0.000 0.500 0.500
13 O 0.500 0.000 0.000
14 O 0.500 0.000 0.500
15 O 0.500 0.500 0.253
16 O 0.500 0.500 0.747

Main lines, low angle first (2θ from 15° to 90°):
2θ (°)	d/Å	Rel. int.
18.93	4.687	51.7
27.77	3.213	42.6
33.83	2.650	56.1
38.41	2.344	100.0
40.91	2.206	38.1
57.36	1.606	50.8